LiCo6O2F10: theoretical X-ray diffraction stick pattern (λ = 1.5418 Å (Cu Kα)), based on a crystal structure in Alexandria, relaxed with GGA+U.
Neutral-atom scattering factors, no anomalous dispersion.

Largest 12 diffraction maxima, in order of rising 2θ, 15° ≤ 2θ ≤ 90°:
d (Å)	2θ/deg	I_rel	hkl
5.104	17.37	186	0 1 0
4.747	18.69	186	1 0 -1
4.121	21.56	1000	1 -1 0
3.796	23.43	221	0 1 -2
3.249	27.45	574	1 1 0
3.150	28.33	284	1 -1 2
3.064	29.14	194	-1 1 2
2.851	31.38	227	1 0 -3
2.537	35.38	261	1 -1 3
2.470	36.37	194	-1 1 3
2.095	43.18	281	1 2 0
2.019	44.89	179	-2 1 3

Atomic structure:
```
data_LiCo6O2F10
_cell_length_a 5.2638
_cell_length_b 5.3081
_cell_length_c 9.6292
_cell_angle_alpha 98.02
_cell_angle_beta 95.47
_cell_angle_gamma 102.52
_symmetry_space_group_name_H-M 'P 1'
_symmetry_Int_Tables_number 1
loop_
_symmetry_equiv_pos_as_xyz
'x,y,z'
loop_
_atom_site_label
_atom_site_type_symbol
_atom_site_fract_x
_atom_site_fract_y
_atom_site_fract_z
Li1 Li 0.0000 0.0000 0.0000
Co1 Co 0.1651 0.9323 0.4872
Co2 Co 0.1944 0.6287 0.2192
Co3 Co 0.3870 0.8077 0.7840
Co4 Co 0.6566 0.3529 0.0074
Co5 Co 0.7123 0.3269 0.3487
Co6 Co 0.7130 0.3119 0.6752
O1 O 0.0029 0.6347 0.3756
O2 O 0.4076 0.0112 0.6369
F1 F 0.0299 0.5951 0.7287
F2 F 0.3470 0.0386 0.9610
F3 F 0.3894 0.0081 0.3204
F4 F 0.4918 0.4711 0.1848
F5 F 0.5458 0.5250 0.8413
F6 F 0.5581 0.4637 0.5170
F7 F 0.7986 0.1203 0.8562
F8 F 0.8891 0.2206 0.1561
F9 F 0.9075 0.1502 0.4959
F10 F 0.9674 0.6707 0.0551
```